Diffraction record for YGeBiI2. The X-ray powder pattern is theoretical, not measured: it uses a crystal structure in Alexandria, relaxed with GGA-PBE and Cu Kα.
Peak positions follow from Bragg's law for the DFT cell and can differ from measured ones.

Crystal structure
```
YGeBiI2
1.0
5.9884 0.0000 0.0000
0.0000 5.9884 0.0000
0.0000 0.0000 6.2376
Y Ge Bi I
1 1 1 2
Direct
0.0000 0.0000 0.0000
0.5000 0.5000 0.0000
0.0000 0.0000 0.5000
0.0000 0.5000 0.5000
0.5000 0.0000 0.5000
```

Most intense lines, 15 to 90 degrees two-theta, sorted by position:
20.56 deg, intensity 45, (1 0 1); 28.62 deg, intensity 56, (0 0 2); 29.84 deg, intensity 100, (2 0 0); 41.82 deg, intensity 80, (2 0 2); 42.71 deg, intensity 38, (2 2 0); 52.22 deg, intensity 42, (2 2 2)



Diffraction record for GeBiIr. The X-ray powder pattern is theoretical, not measured: it uses a crystal structure in Alexandria, relaxed with GGA-PBE and Cu Kα.
Peak positions follow from Bragg's law for the DFT cell and can differ from measured ones.

Crystal structure
```
GeBiIr
1.0
6.4686 0.0000 0.0000
0.0000 6.4686 0.0000
0.0000 0.0000 6.4686
Ge Bi Ir
4 4 4
Direct
0.1677 0.1677 0.1677
0.3323 0.8323 0.6677
0.6677 0.3323 0.8323
0.8323 0.6677 0.3323
0.1912 0.3088 0.6912
0.3088 0.6912 0.1912
0.6912 0.1912 0.3088
0.8088 0.8088 0.8088
0.0457 0.9543 0.4543
0.4543 0.0457 0.9543
0.5457 0.5457 0.5457
0.9543 0.4543 0.0457
```

Most intense lines, 15 to 90 degrees two-theta, sorted by position:
23.83 deg, intensity 100, (1 1 1); 30.91 deg, intensity 83, (2 1 0); 33.95 deg, intensity 56, (2 1 1); 39.40 deg, intensity 80, (2 2 0); 41.90 deg, intensity 50, (2 2 1); 58.86 deg, intensity 47, (4 1 0)